No. 1
Starting from a structure optimized by DFT (GGA-PBE), the powder diffraction line list of Dy3PtAu was computed for Cu Kα (λ = 1.5418 Å).

The 6 most intense peaks (10 to 90 degrees two-theta), by angle:
(hkl)  2θ (°)  d (Å)  I (rel.)
0 2 1  26.81  3.326  21
1 0 2  29.54  3.024  27
1 1 2  32.12  2.787  37
1 2 1  34.57  2.594  100
0 2 3  39.58  2.277  33
2 0 0  43.64  2.074  27

Cell and atoms:
```
Dy3PtAu
1.0
4.1482 0.0000 0.0000
0.0000 7.1772 0.0000
0.0000 0.0000 8.8368
Dy Pt Au
6 2 2
Cartesian
1.0371 0.0459 1.5270
1.0371 1.7943 4.9447
1.0371 3.5427 1.5270
3.1112 3.6344 7.3098
3.1112 5.3829 3.8921
3.1112 7.1313 7.3098
1.0371 1.7943 8.0116
3.1112 5.3829 0.8252
1.0371 5.3829 5.8989
3.1112 1.7943 2.9379
```

***

No. 2
Starting from a structure optimized by DFT (GGA-PBE), the powder diffraction line list of MgHBr was computed for Cu Kα (λ = 1.5418 Å).

The 6 most intense peaks (10 to 90 degrees two-theta), by angle:
(hkl)  2θ (°)  d (Å)  I (rel.)
1 1 1  21.88  4.061  76
1 1 2  24.73  3.600  56
0 2 1  28.08  3.178  30
1 1 3  28.90  3.090  100
0 2 5  43.53  2.079  31
1 3 2  46.69  1.945  40

Cell and atoms:
```
MgHBr
1.0
5.6135 0.0000 0.0000
0.0000 6.5401 0.0000
0.0000 0.0000 13.4667
Mg H Br
8 8 8
Cartesian
1.1891 0.8481 0.5154
1.1891 2.4219 7.2487
1.6176 4.1182 0.5154
1.6176 5.6920 7.2487
3.9959 0.8481 6.2180
3.9959 2.4219 12.9513
4.4244 4.1182 6.2180
4.4244 5.6920 12.9513
0.4221 4.2059 7.2968
0.4221 5.6043 0.5635
2.3847 0.9358 7.2968
2.3847 2.3342 0.5635
3.2289 4.2059 12.9032
3.2289 5.6043 6.1699
5.1914 0.9358 12.9032
5.1914 2.3342 6.1699
0.2467 3.7972 11.5929
0.2467 6.0130 4.8596
2.5601 0.5271 11.5929
2.5601 2.7429 4.8596
3.0535 3.7972 8.6071
3.0535 6.0130 1.8738
5.3668 0.5271 8.6071
5.3668 2.7429 1.8738
```

***

No. 3
Starting from a structure optimized by DFT (GGA-PBE), the powder diffraction line list of TlBi3 was computed for Cu Kα (λ = 1.5418 Å).

The 6 most intense peaks (10 to 90 degrees two-theta), by angle:
(hkl)  2θ (°)  d (Å)  I (rel.)
1 0 1  29.77  3.001  58
0 4 0  30.04  2.975  50
0 2 2  31.51  2.839  100
1 2 1  33.45  2.679  91
1 4 1  42.80  2.113  37
2 2 2  64.00  1.455  28

Cell and atoms:
```
TlBi3
1.0
3.3882 0.0000 0.0000
0.0000 11.8997 0.0000
0.0000 0.0000 6.4612
Tl Bi
2 6
Cartesian
0.0000 0.0000 0.0000
1.6941 5.9498 3.2306
0.0000 3.2556 1.6006
0.0000 5.9498 6.3339
0.0000 8.6441 1.6006
1.6941 0.0000 3.1033
1.6941 2.6943 4.8312
1.6941 9.2054 4.8312
```